No. 1
Calculated powder diffractogram
Compound: Ba2Al2CrS6
Radiation: λ = 1.5418 Å (Cu Kα)
Structure: the GGA-PBE geometry in Alexandria
Peak positions follow from Bragg's law for the DFT cell and can differ from measured ones.

Peak list (8 most intense, 5 to 70 degrees two-theta, by intensity)
2θ (°)  I/Imax  h k l
25.47  100  1 1 0
34.94  88  0 2 4
30.94  82  2 0 2
27.31  64  0 1 5
46.04  45  1 2 5
52.32  42  2 2 0
49.72  40  1 1 9
23.51  39  1 0 4

Structural model:
Unit cell a=6.9940 b=6.9940 c=19.3840 alpha=90.00 beta=90.00 gamma=120.00
Space group R-3m (No. 166, hexagonal axes)
Asymmetric unit:
Ba (0.0000, 0.0000, 0.2229) [6 per cell]
Al (0.0000, 0.0000, 0.4262) [6 per cell]
Cr (0.0000, 0.0000, 0.0000) [3 per cell]
S (0.0259, 0.5130, 0.7491) [18 per cell]


No. 2
Calculated powder diffractogram
Compound: NaScSnCl6
Radiation: λ = 1.5418 Å (Cu Kα)
Structure: the GGA-PBE geometry in Alexandria
Peak positions follow from Bragg's law for the DFT cell and can differ from measured ones.

Peak list (8 most intense, 5 to 70 degrees two-theta, by intensity)
2θ (°)  I/Imax  h k l
20.95  100  1 0 2
39.71  65  1 1 4
29.96  61  2 -1 2
45.89  34  3 0 0
43.01  31  2 1 2
33.64  29  2 0 2
14.93  20  1 0 0
62.27  15  4 -2 4

Structural model:
Unit cell a=6.8504 b=6.8504 c=12.1238 alpha=90.00 beta=90.00 gamma=120.00
Space group P-31c (No. 163)
Asymmetric unit:
Na (0.3333, 0.6667, 0.2500) [2 per cell]
Sc (0.3333, 0.6667, 0.7500) [2 per cell]
Sn (0.0000, 0.0000, 0.0000) [2 per cell]
Cl (0.0324, 0.3664, 0.6311) [12 per cell]


No. 3
Calculated powder diffractogram
Compound: PmTh4C4
Radiation: λ = 1.5418 Å (Cu Kα)
Structure: the GGA-PBE geometry in Alexandria
Peak positions follow from Bragg's law for the DFT cell and can differ from measured ones.

Peak list (8 most intense, 5 to 70 degrees two-theta, by intensity)
2θ (°)  I/Imax  h k l
29.05  100  1 2 1
33.67  60  0 0 2
48.35  44  3 1 2
57.44  30  5 0 1
57.32  16  1 2 3
60.21  15  2 4 2
14.90  3  1 1 0
42.29  1  2 3 1

Structural model:
Unit cell a=8.4109 b=8.4109 c=5.3335 alpha=90.00 beta=90.00 gamma=90.00
Space group I4/m (No. 87)
Asymmetric unit:
Pm (0.0000, 0.0000, 0.0000) [2 per cell]
Th (0.1047, 0.6919, 0.5000) [8 per cell]
C (0.0920, 0.6914, 0.0000) [8 per cell]


No. 4
Calculated powder diffractogram
Compound: SbP3CN3Cl15
Radiation: λ = 1.5418 Å (Cu Kα)
Structure: the GGA-PBE geometry in Alexandria
Peak positions follow from Bragg's law for the DFT cell and can differ from measured ones.

Peak list (8 most intense, 5 to 70 degrees two-theta, by intensity)
2θ (°)  I/Imax  h k l
16.09  100  0 2 0
18.42  66  1 1 -2
17.47  61  -1 1 2
18.86  49  2 -1 0
11.34  47  1 0 -1
11.56  46  1 0 1
28.39  46  3 0 0
16.33  44  1 0 2

Structural model:
Unit cell a=9.6403 b=11.2742 c=13.4925 alpha=93.66 beta=90.38 gamma=101.65
Space group P-1 (No. 2)
Asymmetric unit:
Sb (0.1826, 0.2517, 0.1985) [2 per cell]
P (0.0771, 0.2863, 0.7215) [2 per cell]
P (0.2931, 0.7863, 0.4906) [2 per cell]
P (0.3596, 0.7782, 0.1509) [2 per cell]
C (0.1972, 0.7610, 0.3087) [2 per cell]
N (0.0639, 0.7425, 0.3436) [2 per cell]
N (0.2177, 0.7593, 0.2102) [2 per cell]
N (0.3084, 0.7814, 0.3738) [2 per cell]
Cl (0.0739, 0.8004, 0.7983) [2 per cell]
Cl (0.1040, 0.1650, 0.8167) [2 per cell]
Cl (0.1149, 0.4467, 0.7986) [2 per cell]
Cl (0.1681, 0.3888, 0.0714) [2 per cell]
Cl (0.1832, 0.0887, 0.0744) [2 per cell]
Cl (0.1833, 0.4124, 0.3261) [2 per cell]
Cl (0.1897, 0.6352, 0.5479) [2 per cell]
Cl (0.1928, 0.1127, 0.3278) [2 per cell]
Cl (0.2032, 0.9186, 0.5498) [2 per cell]
Cl (0.2338, 0.2936, 0.6254) [2 per cell]
Cl (0.3063, 0.7768, 0.0092) [2 per cell]
Cl (0.4384, 0.3030, 0.1975) [2 per cell]
Cl (0.4714, 0.6485, 0.1609) [2 per cell]
Cl (0.4866, 0.8168, 0.5500) [2 per cell]
Cl (0.4968, 0.9351, 0.1820) [2 per cell]


No. 5
Calculated powder diffractogram
Compound: AlCrH
Radiation: λ = 1.5418 Å (Cu Kα)
Structure: the GGA-PBE geometry in Alexandria
Peak positions follow from Bragg's law for the DFT cell and can differ from measured ones.

Peak list (8 most intense, 5 to 70 degrees two-theta, by intensity)
2θ (°)  I/Imax  h k l
42.41  100  1 1 1
42.22  51  0 1 2
36.17  33  1 0 1
43.59  29  0 2 0
21.40  25  0 1 0
64.77  17  1 0 3
35.96  17  0 0 2
57.89  16  1 2 1

Structural model:
Unit cell a=2.8625 b=4.1527 c=4.9953 alpha=90.00 beta=90.00 gamma=90.00
Space group Pmn2_1 (No. 31)
Asymmetric unit:
Al (0.0000, 0.0089, 0.0000) [2 per cell]
Cr (0.0000, 0.4939, 0.3320) [2 per cell]
H (0.0000, 0.3612, 0.6663) [2 per cell]


No. 6
Calculated powder diffractogram
Compound: YZrTi
Radiation: λ = 1.5418 Å (Cu Kα)
Structure: the GGA-PBE geometry in Alexandria
Peak positions follow from Bragg's law for the DFT cell and can differ from measured ones.

Peak list (8 most intense, 5 to 70 degrees two-theta, by intensity)
2θ (°)  I/Imax  h k l
35.36  100  0 1 3
35.69  67  0 2 0
33.03  58  1 1 0
34.49  56  1 0 2
34.60  55  1 1 1
38.99  55  1 1 2
26.89  41  0 1 2
50.48  37  1 2 2

Structural model:
Unit cell a=3.2197 b=5.0307 c=8.8193 alpha=90.00 beta=90.00 gamma=90.00
Space group Pmmn (No. 59, origin choice 2)
Asymmetric unit:
Y (0.2500, 0.2500, 0.1165) [2 per cell]
Zr (0.2500, 0.2500, 0.7282) [2 per cell]
Ti (0.2500, 0.7500, 0.5497) [2 per cell]


No. 7
Calculated powder diffractogram
Compound: CsSrHSe2
Radiation: λ = 1.5418 Å (Cu Kα)
Structure: the GGA-PBE geometry in Alexandria
Peak positions follow from Bragg's law for the DFT cell and can differ from measured ones.

Peak list (8 most intense, 5 to 70 degrees two-theta, by intensity)
2θ (°)  I/Imax  h k l
26.67  100  1 3 1
38.08  39  2 6 0
40.48  32  3 3 1
30.22  28  2 2 1
21.01  27  2 0 0
23.47  24  2 2 0
28.14  21  0 4 1
42.78  17  4 0 0

Structural model:
Unit cell a=8.4558 b=17.0981 c=4.7291 alpha=90.00 beta=90.00 gamma=90.00
Space group Cmme (No. 67)
Asymmetric unit:
Cs (0.0000, 0.2500, 0.1914) [4 per cell]
Sr (0.2500, 0.0000, 0.0000) [4 per cell]
H (0.0000, 0.0000, 0.5000) [4 per cell]
Se (0.0000, 0.0938, 0.6766) [8 per cell]


No. 8
Calculated powder diffractogram
Compound: Tb3Pm2Er6Pb
Radiation: λ = 1.5418 Å (Cu Kα)
Structure: the GGA-PBE geometry in Alexandria
Peak positions follow from Bragg's law for the DFT cell and can differ from measured ones.

Peak list (8 most intense, 5 to 70 degrees two-theta, by intensity)
2θ (°)  I/Imax  h k l
31.19  100  1 3 1
36.13  68  2 0 2
31.08  34  0 0 4
51.95  24  1 3 5
52.10  24  0 6 0
61.88  24  2 0 6
61.97  24  4 0 0
65.04  12  2 6 2

Structural model:
Unit cell a=6.0796 b=10.5358 c=11.6905 alpha=90.00 beta=100.04 gamma=90.00
Space group C2/m (No. 12)
Asymmetric unit:
Tb (0.0000, 0.0000, 0.0000) [2 per cell]
Tb (0.0000, 0.3326, 0.0000) [4 per cell]
Pm (0.0000, 0.1661, 0.5000) [4 per cell]
Er (0.2445, 0.5000, 0.2492) [4 per cell]
Er (0.2466, 0.3362, 0.7497) [8 per cell]
Pb (0.0000, 0.5000, 0.5000) [2 per cell]


What is the formula in the eighth record?
Tb3Pm2Er6Pb


Number 6 is which compound?
YZrTi